[1]
Diffraction record for U2I2BrN. The PXRD pattern is computed, not measured: it uses DFT lattice parameters and positions (GGA-PBE) and λ = 1.5418 Å (Cu Kα).
No peak broadening, texture or thermal motion is included.

Atomic structure:
```
data_U2I2BrN
_cell_length_a 19.067
_cell_length_b 3.916
_cell_length_c 12.037
_cell_angle_alpha 90.00
_cell_angle_beta 124.43
_cell_angle_gamma 90.00
_space_group_name_H-M_alt 'C 1 2/m 1'
_space_group_IT_number 12
_space_group_name_Hall '-C 2y'
loop_
_atom_site_label
_atom_site_type_symbol
_atom_site_fract_x
_atom_site_fract_y
_atom_site_fract_z
U1 U 0.071 0.000 0.463
U2 U 0.126 0.500 0.770
I1 I 0.046 0.500 0.237
I2 I 0.165 0.000 0.015
Br1 Br 0.212 0.500 0.623
N1 N 0.071 0.000 0.652
```

Main lines, most intense first (2θ = 10–90°):
2θ (°), intensity
31.54, 100
27.54, 85
29.94, 71
26.23, 63
40.60, 63
29.78, 53
34.62, 43
56.15, 43

=====

[2]
Diffraction record for NbI2Br3. The PXRD pattern is computed, not measured: it uses DFT lattice parameters and positions (GGA-PBE) and λ = 1.5418 Å (Cu Kα).
No peak broadening, texture or thermal motion is included.

Atomic structure:
```
data_NbI2Br3
_cell_length_a 7.070
_cell_length_b 7.588
_cell_length_c 10.053
_cell_angle_alpha 109.60
_cell_angle_beta 90.24
_cell_angle_gamma 115.92
_space_group_name_H-M_alt 'P -1'
_space_group_IT_number 2
_space_group_name_Hall '-P 1'
loop_
_atom_site_label
_atom_site_type_symbol
_atom_site_fract_x
_atom_site_fract_y
_atom_site_fract_z
Nb1 Nb 0.102 0.215 0.219
I1 I 0.134 0.618 0.853
I2 I 0.451 0.584 0.331
Br1 Br 0.068 0.822 0.573
Br2 Br 0.223 0.172 0.956
Br3 Br 0.292 0.011 0.243
```

Main lines, most intense first (2θ = 10–90°):
2θ (°), intensity
29.74, 100
28.85, 71
29.12, 69
27.51, 52
29.53, 35
28.43, 34
13.65, 32
38.18, 31

=====

[3]
Diffraction record for NbIBrO. The PXRD pattern is computed, not measured: it uses DFT lattice parameters and positions (GGA-PBE) and λ = 1.5418 Å (Cu Kα).
No peak broadening, texture or thermal motion is included.

Atomic structure:
```
data_NbIBrO
_cell_length_a 15.075
_cell_length_b 3.945
_cell_length_c 7.383
_cell_angle_alpha 90.00
_cell_angle_beta 105.21
_cell_angle_gamma 90.00
_space_group_name_H-M_alt 'C 1 2 1'
_space_group_IT_number 5
_space_group_name_Hall 'C 2y'
loop_
_atom_site_label
_atom_site_type_symbol
_atom_site_fract_x
_atom_site_fract_y
_atom_site_fract_z
Nb1 Nb 0.000 0.000 0.205
I1 I 0.132 0.960 0.570
Br1 Br 0.146 0.965 0.079
O1 O 0.000 0.469 0.211
```

Main lines, most intense first (2θ = 10–90°):
2θ (°), intensity
23.36, 100
30.71, 43
30.16, 41
12.17, 35
41.43, 34
41.99, 30
49.58, 21
33.24, 19

=====

[4]
Diffraction record for Nb3SI3Br4. The PXRD pattern is computed, not measured: it uses DFT lattice parameters and positions (GGA-PBE) and λ = 1.5418 Å (Cu Kα).
No peak broadening, texture or thermal motion is included.

Atomic structure:
```
data_Nb3SI3Br4
_cell_length_a 7.3748
_cell_length_b 7.3748
_cell_length_c 6.8652
_cell_angle_alpha 90.00
_cell_angle_beta 90.00
_cell_angle_gamma 120.00
_space_group_name_H-M_alt 'P 3 m 1'
_space_group_IT_number 156
_space_group_name_Hall 'P 3 -2"'
loop_
_atom_site_label
_atom_site_type_symbol
_atom_site_fract_x
_atom_site_fract_y
_atom_site_fract_z
Nb1 Nb 0.1986 0.3971 0.0000
S1 S 0.3333 0.6667 0.7521
I1 I 0.5033 0.0067 0.2761
Br1 Br 0.0000 0.0000 0.1941
Br2 Br 0.3344 0.1672 0.7933
```

Main lines, most intense first (2θ = 10–90°):
2θ (°), intensity
30.88, 100
38.50, 44
12.90, 40
49.43, 23
48.97, 23
59.43, 16
18.98, 14
39.57, 12

=====

[5]
Diffraction record for Nb3SeI4Br3. The PXRD pattern is computed, not measured: it uses DFT lattice parameters and positions (GGA-PBE) and λ = 1.5418 Å (Cu Kα).
No peak broadening, texture or thermal motion is included.

Atomic structure:
```
data_Nb3SeI4Br3
_cell_length_a 7.4771
_cell_length_b 7.4771
_cell_length_c 6.9734
_cell_angle_alpha 90.00
_cell_angle_beta 90.00
_cell_angle_gamma 120.00
_space_group_name_H-M_alt 'P 3 m 1'
_space_group_IT_number 156
_space_group_name_Hall 'P 3 -2"'
loop_
_atom_site_label
_atom_site_type_symbol
_atom_site_fract_x
_atom_site_fract_y
_atom_site_fract_z
Nb1 Nb 0.0652 0.5326 0.0000
Se1 Se 0.3333 0.6667 0.2683
I1 I 0.1641 0.3283 0.7319
I2 I 0.6667 0.3333 0.7805
Br1 Br 0.3343 0.1671 0.1985
```

Main lines, most intense first (2θ = 10–90°):
2θ (°), intensity
30.44, 100
37.92, 43
12.69, 36
48.19, 24
48.71, 23
58.53, 14
55.80, 12
25.55, 12

=====

[6]
Diffraction record for Nd2SbIBr. The PXRD pattern is computed, not measured: it uses DFT lattice parameters and positions (GGA-PBE) and λ = 1.5418 Å (Cu Kα).
No peak broadening, texture or thermal motion is included.

Atomic structure:
```
data_Nd2SbIBr
_cell_length_a 4.4190
_cell_length_b 4.4190
_cell_length_c 11.0856
_cell_angle_alpha 90.00
_cell_angle_beta 90.00
_cell_angle_gamma 120.00
_space_group_name_H-M_alt 'P 3 m 1'
_space_group_IT_number 156
_space_group_name_Hall 'P 3 -2"'
loop_
_atom_site_label
_atom_site_type_symbol
_atom_site_fract_x
_atom_site_fract_y
_atom_site_fract_z
Nd1 Nd 0.0000 0.0000 0.0000
Nd2 Nd 0.3333 0.6667 0.6779
Sb1 Sb 0.6667 0.3333 0.8387
I1 I 0.3333 0.6667 0.1817
Br1 Br 0.0000 0.0000 0.5213
```

Main lines, most intense first (2θ = 10–90°):
2θ (°), intensity
28.34, 100
40.17, 37
40.84, 35
50.46, 20
66.85, 17
65.90, 16
73.91, 12
58.63, 12